Theoretical XRD peak list of NaCaGdSeO6 for copper Kα, from a structure optimized by DFT (PBE).
Kinematic intensities with the Lorentz-polarization factor, no thermal factor.

Peak list (10 most intense, 2θ from 15° to 90°, sorted by position)
two_theta  d_spacing  I_rel
19.08  4.651  11
22.07  4.028  69
31.41  2.848  100
37.01  2.429  12
45.01  2.014  37
50.67  1.801  27
55.91  1.644  38
65.55  1.424  21
70.08  1.343  13
74.49  1.274  18

Structure:
abc: 5.697 5.697 5.697
angles: 60.00 60.00 60.00
Sites, in units of the cell vectors:
Na  0.000  0.000  0.000
Ca  0.500  0.500  0.500
Gd  0.750  0.750  0.750
Se  0.250  0.250  0.250
O  0.025  0.025  0.475
O  0.025  0.475  0.025
O  0.025  0.475  0.475
O  0.475  0.025  0.025
O  0.475  0.025  0.475
O  0.475  0.475  0.025